For Na2SrH4, the PBE geometry in Alexandria gives the theoretical PXRD pattern in this record (Cu Kα, 1.54184 Å).

Peak list (12 most intense, 10 to 80 degrees two-theta, in order of rising 2θ)
2θ (°)	Rel. int.
16.82	37
23.59	47
29.12	100
29.46	50
38.53	26
45.05	32
45.29	32
48.27	16
52.04	10
61.13	15
63.39	11
73.70	10

Structure:
Cell: 6.4828 6.4828 6.4828 Å, 108.86 108.86 110.70°
Element x y z (fractional)
Na1 0.0000 0.0000 0.0000
Na2 0.0000 0.0000 0.5000
Na3 0.0000 0.5000 0.0000
Na4 0.5000 0.0000 0.5000
Sr1 0.3750 0.6250 0.7500
Sr2 0.6250 0.3750 0.2500
H1 0.1159 0.6859 0.4300
H2 0.2441 0.3141 0.9300
H3 0.3141 0.2441 0.4300
H4 0.3141 0.8841 0.0700
H5 0.6859 0.1159 0.9300
H6 0.6859 0.7559 0.5700
H7 0.7559 0.6859 0.0700
H8 0.8841 0.3141 0.5700

---

For TlNO, the PBE geometry in Alexandria gives the theoretical PXRD pattern in this record (Cu Kα, 1.54184 Å).

Peak list (12 most intense, 10 to 80 degrees two-theta, in order of rising 2θ)
2θ (°)	Rel. int.
23.63	63
28.33	100
28.48	51
28.68	28
28.99	58
31.70	38
36.13	24
38.29	33
39.43	24
41.73	40
44.28	24
58.68	23

Structure:
Cell: 3.6428 3.6428 11.3672 Å, 95.62 95.62 60.01°
Element x y z (fractional)
Tl1 0.0282 0.0282 0.1298
Tl2 0.9718 0.9718 0.8702
N1 0.0332 0.0332 0.4567
N2 0.9668 0.9668 0.5433
O1 0.3761 0.3761 0.2020
O2 0.6239 0.6239 0.7980

---

For C5Se, the PBE geometry in Alexandria gives the theoretical PXRD pattern in this record (Cu Kα, 1.54184 Å).

Peak list (12 most intense, 10 to 80 degrees two-theta, in order of rising 2θ)
2θ (°)	Rel. int.
13.08	100
22.17	99
23.79	42
26.33	24
27.71	29
31.56	20
36.43	24
37.14	25
40.52	18
42.47	46
48.39	27
50.06	14

Structure:
Cell: 4.2740 4.2740 7.3663 Å, 112.05 112.05 35.59°
Element x y z (fractional)
C1 0.0000 0.0000 0.0000
C2 0.2086 0.2086 0.4907
C3 0.3240 0.3240 0.6956
C4 0.5550 0.5550 0.0920
C5 0.8785 0.8785 0.7951
Se1 0.7651 0.7651 0.3383

---

For U2Mn2P2C, the PBE geometry in Alexandria gives the theoretical PXRD pattern in this record (Cu Kα, 1.54184 Å).

Peak list (12 most intense, 10 to 80 degrees two-theta, in order of rising 2θ)
2θ (°)	Rel. int.
19.62	51
25.77	100
29.95	24
31.52	43
33.42	47
38.16	44
38.34	59
38.92	58
40.89	37
48.68	28
51.83	35
63.35	21

Structure:
Cell: 5.4675 5.4675 6.0144 Å, 116.45 116.45 40.01°
Element x y z (fractional)
U1 0.0414 0.0414 0.3275
U2 0.9586 0.9586 0.6725
Mn1 0.3058 0.3058 0.9093
Mn2 0.6942 0.6942 0.0907
P1 0.3079 0.3079 0.2841
P2 0.6921 0.6921 0.7159
C1 0.5000 0.5000 0.0000

---

For BaSr3Tl4, the PBE geometry in Alexandria gives the theoretical PXRD pattern in this record (Cu Kα, 1.54184 Å).

Peak list (12 most intense, 10 to 80 degrees two-theta, in order of rising 2θ)
2θ (°)	Rel. int.
21.21	6
21.50	13
30.38	100
30.59	50
43.19	9
43.81	19
53.85	19
54.24	40
63.21	12
63.68	6
71.28	7
72.21	13

Structure:
Cell: 11.6929 8.3788 5.8435 Å, 90.00 90.00 90.00°
Element x y z (fractional)
Ba1 0.0000 0.0000 0.0000
Ba2 0.5000 0.0000 0.0000
Sr1 0.0000 0.5000 0.0000
Sr2 0.2500 0.0000 0.4988
Sr3 0.2500 0.5000 0.4989
Sr4 0.5000 0.5000 0.0000
Sr5 0.7500 0.0000 0.5012
Sr6 0.7500 0.5000 0.5011
Tl1 0.0000 0.2648 0.5000
Tl2 0.0000 0.7352 0.5000
Tl3 0.2500 0.2648 0.9984
Tl4 0.2500 0.7352 0.9984
Tl5 0.5000 0.2648 0.5000
Tl6 0.5000 0.7352 0.5000
Tl7 0.7500 0.2648 0.0016
Tl8 0.7500 0.7352 0.0016

---

For LaEr7Tm2, the PBE geometry in Alexandria gives the theoretical PXRD pattern in this record (Cu Kα, 1.54184 Å).

Peak list (12 most intense, 10 to 80 degrees two-theta, in order of rising 2θ)
2θ (°)	Rel. int.
31.04	100
35.99	51
51.79	24
51.88	12
61.57	14
61.67	25
61.75	4
64.61	3
64.74	9
76.22	2
76.32	2
76.45	2

Structure:
Cell: 6.1086 6.1147 9.3243 Å, 71.05 70.96 80.44°
Element x y z (fractional)
La1 0.0000 0.0000 0.0000
Er1 0.0994 0.4973 0.3021
Er2 0.2010 0.0014 0.5978
Er3 0.3033 0.4996 0.8984
Er4 0.5000 0.5000 0.5000
Er5 0.6967 0.5004 0.1016
Er6 0.7990 0.9986 0.4022
Er7 0.9006 0.5027 0.6979
Tm1 0.3993 0.9991 0.2032
Tm2 0.6007 0.0009 0.7968